1.
The following is a simulated XRD peak list of Pr6PdRu2Br3. It was derived from a cell relaxed with PBE, using λ = 1.5418 Å (Cu Kα).
Peak positions follow from Bragg's law for the DFT cell and can differ from measured ones.

Crystal structure
```
data_Pr6PdRu2Br3
_chemical_formula_sum 'Pr6 Pd1 Ru2 Br3'
_cell_length_a 7.185
_cell_length_b 7.185
_cell_length_c 8.296
_cell_angle_alpha 98.28
_cell_angle_beta 98.28
_cell_angle_gamma 120.01
_space_group_name_H-M_alt 'P 1'
_space_group_IT_number 1
_space_group_name_Hall 'P 1'
loop_
_atom_site_label
_atom_site_fract_x
_atom_site_fract_y
_atom_site_fract_z
Pr1 0.086 0.434 0.801
Pr2 0.218 0.218 0.198
Pr3 0.434 0.086 0.801
Pr4 0.566 0.914 0.199
Pr5 0.782 0.782 0.802
Pr6 0.914 0.566 0.199
Pd1 0.500 0.500 0.000
Ru1 0.167 0.833 0.000
Ru2 0.833 0.167 0.000
Br1 0.000 0.000 0.500
Br2 0.331 0.669 0.500
Br3 0.669 0.331 0.500
```

Top 10 peaks for 10 to 90 degrees two-theta, by angle:
| d (Å) | Position (°2θ) | intensity |
| --- | --- | --- |
| 7.944 | 11.1 | 20 |
| 3.076 | 29.0 | 100 |
| 2.471 | 36.4 | 13 |
| 2.293 | 39.3 | 31 |
| 2.074 | 43.6 | 36 |
| 1.855 | 49.1 | 10 |
| 1.720 | 53.3 | 18 |
| 1.633 | 56.3 | 12 |
| 1.538 | 60.2 | 10 |
| 1.324 | 71.2 | 15 |

2.
The following is a simulated XRD peak list of Tl2PdPtBr6. It was derived from a cell relaxed with PBE, using λ = 1.5418 Å (Cu Kα).
Peak positions follow from Bragg's law for the DFT cell and can differ from measured ones.

Crystal structure
```
data_Tl2PdPtBr6
_chemical_formula_sum 'Tl4 Pd2 Pt2 Br12'
_cell_length_a 13.327
_cell_length_b 13.327
_cell_length_c 13.327
_cell_angle_alpha 32.06
_cell_angle_beta 32.06
_cell_angle_gamma 32.06
_space_group_name_H-M_alt 'P 1'
_space_group_IT_number 1
_space_group_name_Hall 'P 1'
loop_
_atom_site_label
_atom_site_fract_x
_atom_site_fract_y
_atom_site_fract_z
Tl1 0.115 0.115 0.115
Tl2 0.305 0.305 0.305
Tl3 0.695 0.695 0.695
Tl4 0.885 0.885 0.885
Pd1 0.415 0.415 0.415
Pd2 0.585 0.585 0.585
Pt1 0.000 0.000 0.000
Pt2 0.500 0.500 0.500
Br1 0.131 0.626 0.626
Br2 0.206 0.206 0.710
Br3 0.206 0.710 0.206
Br4 0.290 0.794 0.794
Br5 0.374 0.374 0.869
Br6 0.374 0.869 0.374
Br7 0.626 0.131 0.626
Br8 0.626 0.626 0.131
Br9 0.710 0.206 0.206
Br10 0.794 0.290 0.794
Br11 0.794 0.794 0.290
Br12 0.869 0.374 0.374
```

Top 10 peaks for 10 to 90 degrees two-theta, by angle:
| d (Å) | Position (°2θ) | intensity |
| --- | --- | --- |
| 6.041 | 14.7 | 44 |
| 3.680 | 24.2 | 100 |
| 3.257 | 27.4 | 64 |
| 2.938 | 30.4 | 93 |
| 2.746 | 32.6 | 86 |
| 2.439 | 36.9 | 67 |
| 2.125 | 42.5 | 23 |
| 2.033 | 44.6 | 37 |
| 1.840 | 49.5 | 73 |
| 1.827 | 49.9 | 29 |

3.
The following is a simulated XRD peak list of RbPdBr5. It was derived from a cell relaxed with PBE, using λ = 1.5418 Å (Cu Kα).
Peak positions follow from Bragg's law for the DFT cell and can differ from measured ones.

Crystal structure
```
data_RbPdBr5
_chemical_formula_sum 'Rb1 Pd1 Br5'
_cell_length_a 7.465
_cell_length_b 7.465
_cell_length_c 7.465
_cell_angle_alpha 124.78
_cell_angle_beta 84.53
_cell_angle_gamma 121.66
_space_group_name_H-M_alt 'P 1'
_space_group_IT_number 1
_space_group_name_Hall 'P 1'
loop_
_atom_site_label
_atom_site_fract_x
_atom_site_fract_y
_atom_site_fract_z
Rb1 0.000 0.000 0.000
Pd1 0.266 0.766 0.500
Br1 0.030 0.752 0.277
Br2 0.468 0.260 0.793
Br3 0.468 0.675 0.207
Br4 0.475 0.752 0.723
Br5 0.919 0.419 0.500
```

Top 10 peaks for 10 to 90 degrees two-theta, by angle:
| d (Å) | Position (°2θ) | intensity |
| --- | --- | --- |
| 6.078 | 14.6 | 51 |
| 5.525 | 16.0 | 100 |
| 5.015 | 17.7 | 98 |
| 3.092 | 28.9 | 62 |
| 3.039 | 29.4 | 73 |
| 3.007 | 29.7 | 93 |
| 2.762 | 32.4 | 69 |
| 2.383 | 37.8 | 47 |
| 1.955 | 46.5 | 47 |
| 1.821 | 50.1 | 38 |

4.
The following is a simulated XRD peak list of RbPdBr. It was derived from a cell relaxed with PBE, using λ = 1.5418 Å (Cu Kα).
Peak positions follow from Bragg's law for the DFT cell and can differ from measured ones.

Crystal structure
```
data_RbPdBr
_chemical_formula_sum 'Rb2 Pd2 Br2'
_cell_length_a 4.798
_cell_length_b 4.800
_cell_length_c 9.983
_cell_angle_alpha 77.47
_cell_angle_beta 79.98
_cell_angle_gamma 66.88
_space_group_name_H-M_alt 'P 1'
_space_group_IT_number 1
_space_group_name_Hall 'P 1'
loop_
_atom_site_label
_atom_site_fract_x
_atom_site_fract_y
_atom_site_fract_z
Rb1 0.000 0.000 0.000
Rb2 0.206 0.142 0.417
Pd1 0.041 0.514 0.701
Pd2 0.660 0.133 0.701
Br1 0.479 0.683 0.722
Br2 0.604 0.571 0.207
```

Top 10 peaks for 10 to 90 degrees two-theta, by angle:
| d (Å) | Position (°2θ) | intensity |
| --- | --- | --- |
| 4.849 | 18.3 | 100 |
| 3.542 | 25.1 | 80 |
| 3.428 | 26.0 | 88 |
| 3.351 | 26.6 | 82 |
| 3.232 | 27.6 | 77 |
| 2.576 | 34.8 | 55 |
| 2.424 | 37.1 | 65 |
| 2.382 | 37.8 | 59 |
| 2.284 | 39.4 | 46 |
| 2.178 | 41.5 | 51 |

5.
The following is a simulated XRD peak list of Rb3Pd2Br8. It was derived from a cell relaxed with PBE, using λ = 1.5418 Å (Cu Kα).
Peak positions follow from Bragg's law for the DFT cell and can differ from measured ones.

Crystal structure
```
data_Rb3Pd2Br8
_chemical_formula_sum 'Rb3 Pd2 Br8'
_cell_length_a 11.330
_cell_length_b 11.330
_cell_length_c 11.330
_cell_angle_alpha 36.53
_cell_angle_beta 36.53
_cell_angle_gamma 36.53
_space_group_name_H-M_alt 'P 1'
_space_group_IT_number 1
_space_group_name_Hall 'P 1'
loop_
_atom_site_label
_atom_site_fract_x
_atom_site_fract_y
_atom_site_fract_z
Rb1 0.000 0.000 0.000
Rb2 0.209 0.209 0.209
Rb3 0.791 0.791 0.791
Pd1 0.397 0.397 0.397
Pd2 0.603 0.603 0.603
Br1 0.214 0.739 0.739
Br2 0.261 0.261 0.786
Br3 0.261 0.786 0.261
Br4 0.317 0.317 0.317
Br5 0.683 0.683 0.683
Br6 0.739 0.214 0.739
Br7 0.739 0.739 0.214
Br8 0.786 0.261 0.261
```

Top 10 peaks for 10 to 90 degrees two-theta, by angle:
| d (Å) | Position (°2θ) | intensity |
| --- | --- | --- |
| 3.550 | 25.1 | 100 |
| 3.521 | 25.3 | 45 |
| 3.365 | 26.5 | 51 |
| 3.018 | 29.6 | 97 |
| 2.817 | 31.8 | 87 |
| 2.766 | 32.4 | 83 |
| 2.102 | 43.0 | 56 |
| 1.910 | 47.6 | 49 |
| 1.815 | 50.3 | 41 |
| 1.775 | 51.5 | 72 |